Simulated X-ray diffraction stick pattern
Compound: Ca5Ga6O14
Radiation: Cu Kα (weighted mean of Kα1 and Kα2)
Structure: DFT lattice parameters and positions (PBE)

a b c (Å): 11.6298 11.4053 10.5971
angles (deg): 90.00 90.00 90.00
Space group Cmc2_1 (No. 36)
Unique sites:
Ca 0.0000 0.0270 0.0000 x4
Ca 0.1430 0.3150 0.9546 x8
Ca 0.1585 0.4003 0.5022 x8
Ga 0.0000 0.2001 0.6963 x4
Ga 0.0000 0.5004 0.2194 x4
Ga 0.1433 0.1455 0.2622 x8
Ga 0.2443 0.0965 0.7311 x8
O 0.0000 0.1126 0.3280 x4
O 0.0000 0.2019 0.8697 x4
O 0.0000 0.3532 0.6311 x4
O 0.0000 0.4890 0.8907 x4
O 0.1247 0.1239 0.6218 x8
O 0.1264 0.4343 0.1320 x8
O 0.1607 0.1493 0.0897 x8
O 0.2133 0.2784 0.3378 x8
O 0.2348 0.0286 0.3457 x8

Most intense lines, 2θ from 15° to 90°, most intense first:
- 2θ 29.9, rel. 100
- 2θ 29.6, rel. 83
- 2θ 16.7, rel. 66
- 2θ 25.7, rel. 62
- 2θ 35.7, rel. 57
- 2θ 35.2, rel. 40
- 2θ 24.6, rel. 30
- 2θ 29.8, rel. 28
- 2θ 43.3, rel. 28
- 2θ 27.5, rel. 27